Diffraction record for NaBe2CoRh. The powder X-ray diffraction pattern is theoretical, not measured: it uses DFT lattice parameters and positions (GGA-PBE) and a wavelength of 1.5418 Å.

Most intense lines, 10° ≤ 2θ ≤ 80°, in order of rising 2θ:
2theta  I/Imax
20.06  74
21.44  35
30.51  100
36.79  89
40.77  29
43.69  47
51.77  44
61.29  33

Crystal structure
Unit cell a=4.1438 b=4.1438 c=4.4260 alpha=90.00 beta=90.00 gamma=90.00
Sites, in units of the cell vectors:
Na (0.0000, 0.0000, 0.0000)
Be (0.0000, 0.5000, 0.0000)
Be (0.5000, 0.0000, 0.0000)
Co (0.5000, 0.5000, 0.5000)
Rh (0.0000, 0.0000, 0.5000)

Diffraction record for TmAg2Pb2. The powder X-ray diffraction pattern is theoretical, not measured: it uses DFT lattice parameters and positions (GGA-PBE) and a wavelength of 1.5418 Å.

Most intense lines, 10° ≤ 2θ ≤ 80°, in order of rising 2θ:
2theta  I/Imax
29.98  24
31.27  14
33.91  100
39.21  28
39.44  29
56.84  20
67.72  13
68.04  13

Crystal structure
Unit cell a=11.6673 b=11.6673 c=4.5932 alpha=90.00 beta=90.00 gamma=157.43
Sites, in units of the cell vectors:
Tm (0.1355, 0.8645, 0.7500)
Tm (0.8645, 0.1355, 0.2500)
Ag (0.0380, 0.9620, 0.2500)
Ag (0.4610, 0.5390, 0.2500)
Ag (0.5390, 0.4610, 0.7500)
Ag (0.9620, 0.0380, 0.7500)
Pb (0.2499, 0.7501, 0.2500)
Pb (0.3761, 0.6239, 0.7500)
Pb (0.6239, 0.3761, 0.2500)
Pb (0.7501, 0.2499, 0.7500)